The following is a calculated powder XRD pattern of K8CrO6. It was derived from DFT lattice parameters and positions (GGA+U), using Cu Kα (λ = 1.5418 Å).
No peak broadening, texture or thermal motion is included.

Principal peaks in the range 5 to 70 degrees two-theta, low angle first:
2θ (°)  d_spacing  I (rel.)
13.9  6.392  62
27.9  3.196  100
29.1  3.071  58
30.1  2.969  43
31.4  2.846  51
37.7  2.386  56
38.5  2.338  76
40.6  2.221  43

Structural model:
```
K8CrO6
1.0
7.584 0.000 0.000
0.000 7.175 0.000
0.000 0.000 11.875
K Cr O
16 2 12
direct
0.000 0.090 0.065
0.000 0.123 0.602
0.204 0.497 0.761
0.222 0.627 0.500
0.223 0.959 0.816
0.277 0.041 0.316
0.278 0.373 0.000
0.296 0.503 0.261
0.500 0.877 0.102
0.500 0.910 0.565
0.704 0.503 0.261
0.722 0.373 0.000
0.723 0.041 0.316
0.777 0.959 0.816
0.778 0.627 0.500
0.796 0.497 0.761
0.000 0.684 0.098
0.500 0.316 0.598
0.000 0.228 0.854
0.000 0.438 0.138
0.000 0.759 0.656
0.000 0.816 0.228
0.198 0.736 0.018
0.302 0.264 0.518
0.500 0.184 0.728
0.500 0.241 0.156
0.500 0.562 0.638
0.500 0.772 0.354
0.698 0.264 0.518
0.802 0.736 0.018
```